No. 1
RePb4: computed PXRD pattern (λ = 1.5418 Å (Cu Kα)), based on a PBE-relaxed structure.

Principal peaks in the range 10 to 90 degrees two-theta, in order of rising 2θ:
- 18.9 deg, intensity 20
- 26.8 deg, intensity 50
- 38.3 deg, intensity 100
- 55.2 deg, intensity 18
- 62.4 deg, intensity 20
- 69.2 deg, intensity 37

Crystal structure
Cell: 5.763 5.763 5.763 Å, 109.47 109.47 109.47°
Fractional coordinates of all 5 atoms:
Re  0.000  0.000  0.000
Pb  0.000  0.000  0.500
Pb  0.000  0.500  0.000
Pb  0.500  0.000  0.000
Pb  0.500  0.500  0.500

---

No. 2
Ba2PmRhO6: computed PXRD pattern (λ = 1.5418 Å (Cu Kα)), based on a PBE-relaxed structure.

Principal peaks in the range 10 to 90 degrees two-theta, in order of rising 2θ:
- 29.5 deg, intensity 100
- 42.3 deg, intensity 30
- 52.4 deg, intensity 40
- 61.3 deg, intensity 18
- 69.5 deg, intensity 18
- 84.8 deg, intensity 21

Crystal structure
Cell: 6.047 6.047 6.047 Å, 60.00 60.00 60.00°
Fractional coordinates of all 10 atoms:
Ba  0.250  0.250  0.250
Ba  0.750  0.750  0.750
Pm  0.000  0.000  0.000
Rh  0.500  0.500  0.500
O  0.268  0.268  0.732
O  0.268  0.732  0.268
O  0.268  0.732  0.732
O  0.732  0.268  0.268
O  0.732  0.268  0.732
O  0.732  0.732  0.268

---

No. 3
CrNi4Cl: computed PXRD pattern (λ = 1.5418 Å (Cu Kα)), based on a PBE-relaxed structure.

Principal peaks in the range 10 to 90 degrees two-theta, in order of rising 2θ:
- 22.6 deg, intensity 24
- 37.3 deg, intensity 17
- 44.0 deg, intensity 100
- 46.1 deg, intensity 53
- 71.9 deg, intensity 27
- 79.5 deg, intensity 25

Crystal structure
Cell: 4.822 4.822 4.822 Å, 60.00 60.00 60.00°
Fractional coordinates of all 6 atoms:
Cr  0.000  0.000  0.000
Ni  0.123  0.626  0.626
Ni  0.626  0.123  0.626
Ni  0.626  0.626  0.123
Ni  0.626  0.626  0.626
Cl  0.250  0.250  0.250

---

No. 4
Na2Bi3Pd5: computed PXRD pattern (λ = 1.5418 Å (Cu Kα)), based on a PBE-relaxed structure.

Principal peaks in the range 10 to 90 degrees two-theta, in order of rising 2θ:
- 13.3 deg, intensity 38
- 19.2 deg, intensity 41
- 29.4 deg, intensity 37
- 35.2 deg, intensity 39
- 36.3 deg, intensity 67
- 38.5 deg, intensity 100

Crystal structure
Cell: 8.406 8.406 6.038 Å, 93.93 93.93 104.23°
Fractional coordinates of all 20 atoms:
Na  0.113  0.644  0.909
Na  0.356  0.887  0.591
Na  0.644  0.113  0.409
Na  0.887  0.356  0.091
Bi  0.013  0.290  0.586
Bi  0.290  0.013  0.086
Bi  0.452  0.548  0.750
Bi  0.548  0.452  0.250
Bi  0.710  0.987  0.914
Bi  0.987  0.710  0.414
Pd  0.025  0.975  0.750
Pd  0.217  0.304  0.979
Pd  0.232  0.533  0.354
Pd  0.304  0.217  0.479
Pd  0.467  0.768  0.146
Pd  0.533  0.232  0.854
Pd  0.696  0.783  0.521
Pd  0.768  0.467  0.646
Pd  0.783  0.696  0.021
Pd  0.975  0.025  0.250

---

No. 5
LiTl2Si: computed PXRD pattern (λ = 1.5418 Å (Cu Kα)), based on a PBE-relaxed structure.

Principal peaks in the range 10 to 90 degrees two-theta, in order of rising 2θ:
- 10.1 deg, intensity 48
- 29.2 deg, intensity 100
- 30.7 deg, intensity 30
- 34.3 deg, intensity 67
- 39.0 deg, intensity 37
- 50.4 deg, intensity 31

Crystal structure
Cell: 3.266 3.266 8.730 Å, 90.00 90.00 90.00°
Fractional coordinates of all 4 atoms:
Li  0.000  0.000  0.000
Tl  0.000  0.000  0.403
Tl  0.500  0.500  0.756
Si  0.500  0.500  0.152